No. 1
Starting from DFT lattice parameters and positions (PBE), the powder diffractogram of K2NaNdBr6 was computed for Cu Kα (weighted mean of Kα1 and Kα2).
Lines closer than 0.1° are merged.

Crystal structure
```
data_K2NaNdBr6
_cell_length_a 11.535
_cell_length_b 11.535
_cell_length_c 11.535
_cell_angle_alpha 90.00
_cell_angle_beta 90.00
_cell_angle_gamma 90.00
_symmetry_space_group_name_H-M 'F m -3 m'
_symmetry_Int_Tables_number 225
_symmetry_space_group_name_Hall '-F 4 2 3'
loop_
_atom_site_label
_atom_site_fract_x
_atom_site_fract_y
_atom_site_fract_z
_atom_site_occupancy
K1 0.250 0.250 0.250 1
Na1 0.000 0.000 0.000 1
Nd1 0.000 0.000 0.500 1
Br1 0.000 0.000 0.251 1
```

Principal peaks in the range 15 to 90 degrees two-theta, in order of rising 2θ:
- 2θ 15.36, intensity 61
- 2θ 26.77, intensity 59
- 2θ 31.01, intensity 100
- 2θ 34.78, intensity 34
- 2θ 44.43, intensity 72
- 2θ 52.63, intensity 25
- 2θ 55.17, intensity 25
- 2θ 73.42, intensity 31

No. 2
Starting from DFT lattice parameters and positions (PBE), the powder diffractogram of HfMg was computed for Cu Kα (weighted mean of Kα1 and Kα2).
Lines closer than 0.1° are merged.

Crystal structure
```
data_HfMg
_cell_length_a 5.097
_cell_length_b 3.160
_cell_length_c 5.372
_cell_angle_alpha 90.00
_cell_angle_beta 90.00
_cell_angle_gamma 90.00
_symmetry_space_group_name_H-M 'P m m a'
_symmetry_Int_Tables_number 51
loop_
_symmetry_equiv_pos_as_xyz
'x,y,z'
'-x,-y,-z'
'-x+1/2,-y,z'
'x+1/2,y,-z'
'x+1/2,-y,-z'
'-x+1/2,y,z'
'-x,y,-z'
'x,-y,z'
loop_
_atom_site_label
_atom_site_fract_x
_atom_site_fract_y
_atom_site_fract_z
_atom_site_occupancy
Hf1 0.250 0.000 0.183 1
Mg1 0.250 0.500 0.683 1
```

Principal peaks in the range 15 to 90 degrees two-theta, in order of rising 2θ:
- 2θ 16.50, intensity 21
- 2θ 24.07, intensity 85
- 2θ 28.24, intensity 35
- 2θ 35.22, intensity 35
- 2θ 37.43, intensity 100
- 2θ 37.86, intensity 33
- 2θ 45.74, intensity 19
- 2θ 64.66, intensity 20

No. 3
Starting from DFT lattice parameters and positions (PBE), the powder diffractogram of La8MgAl7O24 was computed for Cu Kα (weighted mean of Kα1 and Kα2).
Lines closer than 0.1° are merged.

Crystal structure
```
data_La8MgAl7O24
_cell_length_a 7.669
_cell_length_b 7.669
_cell_length_c 7.669
_cell_angle_alpha 90.00
_cell_angle_beta 90.00
_cell_angle_gamma 90.00
_symmetry_space_group_name_H-M 'P m -3 m'
_symmetry_Int_Tables_number 221
_symmetry_space_group_name_Hall '-P 4 2 3'
loop_
_atom_site_label
_atom_site_fract_x
_atom_site_fract_y
_atom_site_fract_z
_atom_site_occupancy
La1 0.249 0.249 0.249 1
Mg1 0.000 0.000 0.000 1
Al1 0.000 0.000 0.500 1
Al2 0.000 0.500 0.500 1
Al3 0.500 0.500 0.500 1
O1 0.000 0.000 0.261 1
O2 0.000 0.252 0.500 1
O3 0.250 0.500 0.500 1
```

Principal peaks in the range 15 to 90 degrees two-theta, in order of rising 2θ:
- 2θ 23.20, intensity 47
- 2θ 33.04, intensity 100
- 2θ 40.76, intensity 43
- 2θ 47.42, intensity 36
- 2θ 53.43, intensity 22
- 2θ 59.01, intensity 39
- 2θ 69.32, intensity 21
- 2θ 78.96, intensity 17